(1)
Diffraction record for LiV3O4. The powder diffraction line list is simulated, not measured: it uses a structure optimized by DFT (GGA+U) and Cu Ka.
Kinematic intensities with the Lorentz-polarization factor, no thermal factor.

Atomic structure:
Cell lengths 6.106, 6.106, 6.146 Å; angles 120.17, 120.17, 59.57 degrees
Element x y z (fractional)
Li: 0.000 0.000 0.000
Li: 0.500 0.500 0.000
V: 0.000 0.000 0.500
V: 0.000 0.500 0.000
V: 0.000 0.500 0.500
V: 0.500 0.000 0.000
V: 0.500 0.000 0.500
V: 0.500 0.500 0.500
O: 0.240 0.240 0.739
O: 0.241 0.758 0.741
O: 0.242 0.759 0.259
O: 0.248 0.248 0.249
O: 0.752 0.752 0.751
O: 0.758 0.241 0.741
O: 0.759 0.242 0.259
O: 0.760 0.760 0.261

Main lines, low angle first (5° ≤ 2θ ≤ 70°):
- 17.71 deg, I 32
- 20.56 deg, I 10
- 35.86 deg, I 18
- 36.18 deg, I 17
- 41.84 deg, I 100
- 60.64 deg, I 37



(2)
Diffraction record for Li3V12O29. The powder diffraction line list is simulated, not measured: it uses a structure optimized by DFT (GGA+U) and Cu Ka.
Kinematic intensities with the Lorentz-polarization factor, no thermal factor.

Atomic structure:
Cell lengths 14.346, 14.346, 10.381 Å; angles 103.83, 103.83, 14.81 degrees
Element x y z (fractional)
Li: 0.000 0.000 0.000
Li: 0.014 0.014 0.651
Li: 0.274 0.274 0.844
V: 0.071 0.071 0.404
V: 0.154 0.154 0.665
V: 0.184 0.184 0.346
V: 0.311 0.311 0.536
V: 0.398 0.398 0.792
V: 0.423 0.423 0.469
V: 0.592 0.592 0.181
V: 0.616 0.616 0.858
V: 0.705 0.705 0.120
V: 0.830 0.830 0.309
V: 0.860 0.860 0.987
V: 0.944 0.944 0.246
O: 0.007 0.007 0.323
O: 0.068 0.068 0.564
O: 0.106 0.106 0.239
O: 0.131 0.131 0.835
O: 0.147 0.147 0.487
O: 0.200 0.200 0.163
O: 0.212 0.212 0.719
O: 0.241 0.241 0.444
O: 0.308 0.308 0.694
O: 0.342 0.342 0.360
O: 0.373 0.373 0.960
O: 0.386 0.386 0.613
O: 0.437 0.437 0.287
O: 0.458 0.458 0.841
O: 0.478 0.478 0.575
O: 0.537 0.537 0.075
O: 0.557 0.557 0.810
O: 0.576 0.576 0.362
O: 0.630 0.630 0.038
O: 0.639 0.639 0.690
O: 0.672 0.672 0.289
O: 0.708 0.708 0.964
O: 0.771 0.771 0.205
O: 0.801 0.801 0.927
O: 0.814 0.814 0.484
O: 0.866 0.866 0.162
O: 0.885 0.885 0.818
O: 0.908 0.908 0.410
O: 0.945 0.945 0.084

Main lines, low angle first (5° ≤ 2θ ≤ 70°):
- 8.78 deg, I 54
- 12.82 deg, I 100
- 25.60 deg, I 95
- 28.89 deg, I 47
- 29.30 deg, I 48
- 49.29 deg, I 36